Structure and computed powder X-ray diffraction pattern of Cs2Li2ZrSe4 (DFT lattice parameters and positions (GGA-PBE); Cu Kα X-rays).
No peak broadening, texture or thermal motion is included.

Cell and atoms:
```
data_Cs2Li2ZrSe4
_symmetry_space_group_name_H-M 'C 2 2 2'
_symmetry_Int_Tables_number 21
_cell_length_a 6.392
_cell_length_b 14.347
_cell_length_c 6.373
_cell_angle_alpha 90.00
_cell_angle_beta 90.00
_cell_angle_gamma 90.00
loop_
_symmetry_equiv_pos_as_xyz
'x,y,z'
'-x,-y,z'
'x,-y,-z'
'-x,y,-z'
'x+1/2,y+1/2,z'
'-x+1/2,-y+1/2,z'
'x+1/2,-y+1/2,-z'
'-x+1/2,y+1/2,-z'
loop_
_atom_site_label
_atom_site_type_symbol
_atom_site_fract_x
_atom_site_fract_y
_atom_site_fract_z
Cs1 Cs 0.250 0.250 0.236
Li1 Li 0.000 0.000 0.000
Li2 Li 0.000 0.500 0.500
Zr1 Zr 0.000 0.000 0.500
Se1 Se 0.234 0.098 0.734
```

Principal peaks in the range 10° ≤ 2θ ≤ 90°, low angle first:
2θ (°)  I/Imax  index
27.17  100  1 3 1
27.96  31  2 0 0
39.95  24  2 0 2
47.51  26  2 6 0
48.93  19  3 3 1
49.04  18  1 3 3